Li6Mg5Tl2: computed powder diffraction line list (CuKα), based on the PBE geometry in Alexandria.
Peak positions follow from Bragg's law for the DFT cell and can differ from measured ones.

Structure:
```
Li6Mg5Tl2
1.0
4.162 2.403 6.635
-4.162 2.403 6.635
0.000 -4.806 6.635
Li Mg Tl
6 5 2
Cartesian
-1.400 -2.380 6.635
-2.762 -0.022 6.635
1.400 -2.380 6.635
-1.361 2.403 6.635
2.762 -0.022 6.635
1.361 2.403 6.635
0.000 0.000 1.529
0.000 0.000 4.449
0.000 0.000 9.953
0.000 0.000 15.458
0.000 0.000 18.378
0.000 0.000 7.215
0.000 0.000 12.691
```

Largest 10 diffraction maxima, by intensity, 15° ≤ 2θ ≤ 90°:
21.35 deg, I = 100; 21.70 deg, I = 39; 25.26 deg, I = 39; 33.89 deg, I = 31; 37.43 deg, I = 28; 46.14 deg, I = 26; 37.64 deg, I = 20; 40.40 deg, I = 19; 30.63 deg, I = 17; 39.90 deg, I = 16

Cs12Pb: computed powder diffraction line list (CuKα), based on the PBE geometry in Alexandria.
Peak positions follow from Bragg's law for the DFT cell and can differ from measured ones.

Structure:
```
Cs12Pb
1.0
-6.804 6.804 6.804
6.804 -6.804 6.804
6.804 6.804 -6.804
Cs Pb
12 1
Cartesian
6.804 4.480 -2.792
4.012 0.000 2.324
9.596 0.000 2.324
2.324 4.012 0.000
4.480 -2.792 6.804
0.000 2.324 4.012
6.804 4.480 2.792
2.324 9.596 0.000
4.480 2.792 6.804
-2.792 6.804 4.480
2.792 6.804 4.480
0.000 2.324 9.596
0.000 0.000 0.000
```

Largest 10 diffraction maxima, by intensity, 15° ≤ 2θ ≤ 90°:
24.48 deg, I = 100; 20.64 deg, I = 95; 38.58 deg, I = 54; 40.88 deg, I = 43; 22.64 deg, I = 41; 47.23 deg, I = 25; 29.35 deg, I = 16; 56.59 deg, I = 16; 39.74 deg, I = 15; 32.23 deg, I = 15